Structure and computed powder X-ray diffraction pattern of Tb12In6Co (a PBE-relaxed structure; Cu Kα (weighted mean of Kα1 and Kα2)).
Neutral-atom scattering factors, no anomalous dispersion.

Structure:
```
data_Tb12In6Co
_chemical_formula_sum 'Tb36 In18 Co3'
_cell_length_a 12.1524
_cell_length_b 12.1524
_cell_length_c 13.2363
_cell_angle_alpha 90.00
_cell_angle_beta 90.00
_cell_angle_gamma 120.00
_symmetry_space_group_name_H-M 'R -3'
_symmetry_Int_Tables_number 148
_symmetry_space_group_name_Hall '-R 3'
loop_
_atom_site_label
_atom_site_type_symbol
_atom_site_fract_x
_atom_site_fract_y
_atom_site_fract_z
Tb1 Tb 0.0358 0.8486 0.3901
Tb2 Tb 0.0375 0.1851 0.8753
In1 In 0.0047 0.6070 0.2594
Co1 Co 0.0000 0.0000 0.0000
```

Peak list (10 most intense, 2θ = 10–90°, in order of falling intensity)
| Position (°2θ) | I/Imax |
| --- | --- |
| 31.38 | 100 |
| 35.89 | 88 |
| 28.27 | 62 |
| 33.56 | 44 |
| 35.28 | 26 |
| 40.94 | 25 |
| 29.40 | 24 |
| 58.64 | 16 |
| 48.66 | 14 |
| 68.35 | 14 |